# 1
Structure and computed PXRD pattern of DyPuV (a cell relaxed with GGA-PBE; Cu Kα, 1.54184 Å).
No peak broadening, texture or thermal motion is included.

The 6 most intense peaks (2θ = 10–90°), in order of rising 2θ:
2θ = 17.50°, I 96
2θ = 31.64°, I 100
2θ = 32.35°, I 55
2θ = 34.74°, I 87
2θ = 40.64°, I 51
2θ = 42.63°, I 37

Cell and atoms:
Unit cell a=7.1688 b=7.1688 c=6.0008 alpha=90.00 beta=90.00 gamma=90.00
Space group P4_12_12 (No. 92)
Symmetry-distinct sites (fractional):
Dy 0.2270 0.2270 0.0000 [4 per cell]
Pu 0.0937 0.0937 0.5000 [4 per cell]
V 0.1803 0.8197 0.7500 [4 per cell]

# 2
Structure and computed PXRD pattern of Ac7La12Nd (a cell relaxed with GGA-PBE; Cu Kα, 1.54184 Å).
No peak broadening, texture or thermal motion is included.

The 6 most intense peaks (2θ = 10–90°), in order of rising 2θ:
2θ = 26.19°, I 45
2θ = 28.51°, I 100
2θ = 31.61°, I 29
2θ = 32.33°, I 28
2θ = 36.93°, I 28
2θ = 38.06°, I 24

Cell and atoms:
Unit cell a=20.4133 b=20.4133 c=6.7114 alpha=90.00 beta=90.00 gamma=120.00
Space group R-3 (No. 148, hexagonal axes)
Symmetry-distinct sites (fractional):
Ac 0.0000 0.0000 0.0000 [3 per cell]
Ac 0.0860 0.1722 0.2925 [18 per cell]
La 0.0000 0.4044 0.9985 [18 per cell]
La 0.0911 0.5452 0.4684 [18 per cell]
Nd 0.0000 0.0000 0.5000 [3 per cell]